This entry pairs a crystal structure of RbHfMg14O15 with its calculated powder XRD pattern. Radiation: Cu Ka. Structure: a cell relaxed with GGA-PBE.
Intensities are scaled so that the largest is 100.

Peak list (12 most intense, 10 to 90 degrees two-theta, by angle)
| hkl | 2θ/deg | I/Imax |
| --- | --- | --- |
| 0 1 1 | 14.1 | 68 |
| 0 0 2 | 19.6 | 23 |
| 0 2 0 | 20.3 | 32 |
| 1 1 1 | 24.8 | 47 |
| 1 0 2 | 28.4 | 39 |
| 1 2 2 | 35.2 | 60 |
| 1 3 1 | 38.5 | 18 |
| 0 0 4 | 39.8 | 48 |
| 2 0 0 | 41.4 | 100 |
| 2 0 4 | 58.7 | 54 |
| 2 4 0 | 59.9 | 29 |
| 2 4 4 | 74.3 | 24 |

Cell and atoms:
Unit cell a=4.371 b=8.725 c=9.069 alpha=90.00 beta=90.00 gamma=90.00
Space group Pmm2 (No. 25)
One atom of each set of equivalent atoms:
Rb: 0.000 0.000 0.000
Hf: 0.000 0.500 0.537
Mg: 0.000 0.000 0.521
Mg: 0.000 0.242 0.273
Mg: 0.000 0.246 0.787
Mg: 0.000 0.500 0.048
Mg: 0.500 0.000 0.291
Mg: 0.500 0.000 0.753
Mg: 0.500 0.245 0.043
Mg: 0.500 0.245 0.526
Mg: 0.500 0.500 0.276
Mg: 0.500 0.500 0.801
O: 0.000 0.000 0.307
O: 0.000 0.000 0.732
O: 0.000 0.261 0.531
O: 0.000 0.280 0.038
O: 0.000 0.500 0.292
O: 0.500 0.000 0.080
O: 0.500 0.000 0.525
O: 0.500 0.235 0.788
O: 0.500 0.255 0.290
O: 0.500 0.500 0.039
O: 0.500 0.500 0.509



This entry pairs a crystal structure of HfMg6SbO8 with its calculated powder XRD pattern. Radiation: Cu Ka. Structure: a cell relaxed with GGA-PBE.
Intensities are scaled so that the largest is 100.

Peak list (12 most intense, 10 to 90 degrees two-theta, by angle)
| hkl | 2θ/deg | I/Imax |
| --- | --- | --- |
| 0 0 2 | 17.8 | 83 |
| 0 0 3 | 26.9 | 49 |
| 1 1 0 | 29.0 | 46 |
| 1 1 1 | 30.4 | 88 |
| 1 1 2 | 34.2 | 100 |
| 0 0 4 | 36.1 | 61 |
| 1 1 3 | 39.9 | 30 |
| 2 0 0 | 41.4 | 98 |
| 2 0 2 | 45.4 | 30 |
| 2 0 3 | 50.1 | 35 |
| 2 0 4 | 56.1 | 63 |
| 2 2 0 | 60.0 | 30 |

Cell and atoms:
Unit cell a=4.359 b=4.359 c=9.950 alpha=90.00 beta=90.00 gamma=90.00
Space group P4/mmm (No. 123)
One atom of each set of equivalent atoms:
Hf: 0.000 0.000 0.000
Mg: 0.000 0.000 0.500
Mg: 0.000 0.500 0.280
Mg: 0.500 0.500 0.500
Sb: 0.500 0.500 0.000
O: 0.000 0.000 0.244
O: 0.000 0.500 0.000
O: 0.000 0.500 0.500
O: 0.500 0.500 0.302



This entry pairs a crystal structure of HfMg14SbO16 with its calculated powder XRD pattern. Radiation: Cu Ka. Structure: a cell relaxed with GGA-PBE.
Intensities are scaled so that the largest is 100.

Peak list (12 most intense, 10 to 90 degrees two-theta, by angle)
| hkl | 2θ/deg | I/Imax |
| --- | --- | --- |
| 1 1 0 | 13.8 | 80 |
| 2 0 0 | 19.6 | 49 |
| 1 1 1 | 25.0 | 53 |
| 2 0 1 | 28.7 | 38 |
| 3 1 0 | 31.2 | 35 |
| 2 2 1 | 35.0 | 57 |
| 3 1 1 | 37.8 | 33 |
| 4 0 0 | 39.8 | 100 |
| 0 0 2 | 42.2 | 44 |
| 4 4 0 | 57.5 | 29 |
| 4 0 2 | 59.4 | 59 |
| 4 4 2 | 73.9 | 29 |

Cell and atoms:
Unit cell a=9.060 b=9.060 c=4.283 alpha=90.00 beta=90.00 gamma=90.00
Space group P4/mmm (No. 123)
One atom of each set of equivalent atoms:
Hf: 0.000 0.000 0.000
Mg: 0.000 0.264 0.500
Mg: 0.000 0.500 0.000
Mg: 0.242 0.500 0.500
Mg: 0.262 0.262 0.000
Sb: 0.500 0.500 0.000
O: 0.000 0.000 0.500
O: 0.000 0.232 0.000
O: 0.000 0.500 0.500
O: 0.208 0.500 0.000
O: 0.248 0.248 0.500
O: 0.500 0.500 0.500



This entry pairs a crystal structure of HfMg14SbO16 with its calculated powder XRD pattern. Radiation: Cu Ka. Structure: a cell relaxed with GGA-PBE.
Intensities are scaled so that the largest is 100.

Peak list (12 most intense, 10 to 90 degrees two-theta, by angle)
| hkl | 2θ/deg | I/Imax |
| --- | --- | --- |
| 0 1 0 | 10.3 | 100 |
| 0 0 2 | 18.4 | 35 |
| 0 2 0 | 20.8 | 50 |
| 0 1 2 | 21.1 | 45 |
| 1 1 0 | 23.2 | 38 |
| 0 2 2 | 27.8 | 51 |
| 1 1 2 | 29.8 | 44 |
| 1 2 2 | 35.0 | 70 |
| 0 0 4 | 37.2 | 76 |
| 2 0 0 | 42.2 | 55 |
| 0 4 0 | 42.3 | 53 |
| 2 0 4 | 57.5 | 75 |

Cell and atoms:
Unit cell a=4.286 b=8.549 c=9.663 alpha=90.00 beta=90.00 gamma=90.00
Space group Pmmm (No. 47)
One atom of each set of equivalent atoms:
Hf: 0.000 0.000 0.000
Mg: 0.000 0.252 0.258
Mg: 0.000 0.500 0.000
Mg: 0.000 0.500 0.500
Mg: 0.500 0.000 0.263
Mg: 0.500 0.260 0.000
Mg: 0.500 0.263 0.500
Mg: 0.500 0.500 0.250
Sb: 0.000 0.000 0.500
O: 0.000 0.000 0.205
O: 0.000 0.254 0.000
O: 0.000 0.273 0.500
O: 0.000 0.500 0.241
O: 0.500 0.000 0.000
O: 0.500 0.000 0.500
O: 0.500 0.248 0.257
O: 0.500 0.500 0.000
O: 0.500 0.500 0.500